# Cd5Cu2
Computed powder diffraction line list, λ = 1.5418 Å (Cu Kα). Input: the GGA-PBE geometry in the Materials Project.
No peak broadening, texture or thermal motion is included.

Top 10 peaks for 2θ = 10–90°, by angle:
- (2 0 2), 32.0°, d = 2.796 Å, rel. 16
- (2 1 0), 32.8°, d = 2.729 Å, rel. 23
- (2 1 2), 38.8°, d = 2.322 Å, rel. 100
- (2 0 3), 39.5°, d = 2.282 Å, rel. 20
- (0 0 4), 40.9°, d = 2.209 Å, rel. 14
- (2 2 0), 43.4°, d = 2.085 Å, rel. 13
- (3 2 3), 64.5°, d = 1.444 Å, rel. 14
- (3 0 5), 65.5°, d = 1.425 Å, rel. 16
- (5 0 2), 68.3°, d = 1.373 Å, rel. 14
- (3 3 4), 81.9°, d = 1.176 Å, rel. 10

Crystal structure
```
data_Cd5Cu2
_chemical_formula_sum 'Cd20 Cu8'
_symmetry_space_group_name_H-M 'P 63/m m c'
_symmetry_Int_Tables_number 194
_symmetry_space_group_name_Hall '-P 6c 2c'
_cell_length_a 8.3401
_cell_length_b 8.3401
_cell_length_c 8.8355
_cell_angle_alpha 90.00
_cell_angle_beta 90.00
_cell_angle_gamma 120.00
loop_
_atom_site_label
_atom_site_type_symbol
_atom_site_fract_x
_atom_site_fract_y
_atom_site_fract_z
Cd1 Cd 0.0000 0.0000 0.0000
Cd2 Cd 0.0744 0.5372 0.2500
Cd3 Cd 0.2034 0.4068 0.5418
Cu1 Cu 0.1111 0.2223 0.2500
Cu2 Cu 0.3333 0.6667 0.7500
```